(1)
Simulated X-ray powder pattern of LiFeO3 for a wavelength of 1.5418 Å, from DFT lattice parameters and positions (PBE+U).
Kinematic intensities with the Lorentz-polarization factor, no thermal factor.

The 10 most intense peaks (10 to 90 degrees two-theta), most intense first:
2θ = 18.4°, d 4.813, rel. 100
2θ = 45.1°, d 2.011, rel. 52
2θ = 21.7°, d 4.095, rel. 46
2θ = 43.0°, d 2.105, rel. 28
2θ = 23.6°, d 3.768, rel. 28
2θ = 37.3°, d 2.412, rel. 25
2θ = 21.0°, d 4.222, rel. 23
2θ = 28.1°, d 3.174, rel. 23
2θ = 63.3°, d 1.469, rel. 14
2θ = 64.8°, d 1.439, rel. 12

Structural model:
```
LiFeO3
1.0
2.5146 -4.2222 0.0000
2.5146 4.2222 0.0000
-1.2585 0.0000 9.6270
Li Fe O
4 4 12
Cartesian
1.5707 3.2602 7.2202
2.1999 2.1666 2.4067
1.5707 -2.1666 7.2202
2.1999 -3.2602 2.4067
1.2598 0.6804 0.0112
0.6306 -0.6804 4.8246
3.1400 0.6804 4.8023
2.5108 -0.6804 9.6158
-0.3338 0.5133 5.8651
0.5901 2.1240 8.5212
0.2954 -0.5133 1.0516
1.5786 0.5899 3.7622
2.5513 2.1240 5.9193
0.9493 -0.5899 8.5757
2.8213 0.5899 1.0512
1.2193 -2.1240 3.7077
2.1921 -0.5899 5.8647
3.4752 0.5133 8.5753
3.1806 -2.1240 1.1058
4.1045 -0.5133 3.7619
```

(2)
Simulated X-ray powder pattern of Li3Fe3SiO8 for a wavelength of 1.5418 Å, from DFT lattice parameters and positions (PBE+U).
Kinematic intensities with the Lorentz-polarization factor, no thermal factor.

The 10 most intense peaks (10 to 90 degrees two-theta), most intense first:
2θ = 18.0°, d 4.915, rel. 100
2θ = 43.3°, d 2.088, rel. 66
2θ = 36.0°, d 2.494, rel. 22
2θ = 35.9°, d 2.501, rel. 12
2θ = 63.5°, d 1.465, rel. 11
2θ = 62.5°, d 1.487, rel. 11
2θ = 56.8°, d 1.622, rel. 10
2θ = 47.5°, d 1.916, rel. 6
2θ = 63.9°, d 1.457, rel. 6
2θ = 62.0°, d 1.498, rel. 6

Structural model:
```
Li3Fe3SiO8
1.0
5.0828 0.0000 0.0000
0.0000 5.8300 0.0000
-1.6553 0.0000 4.9146
Li Fe Si O
3 3 1 8
Cartesian
0.0000 0.0000 0.0000
2.5414 1.5270 0.0000
2.5414 4.3030 0.0000
-0.8276 1.4806 2.4573
-0.8276 4.3494 2.4573
1.7138 0.0000 2.4573
1.7138 2.9150 2.4573
-0.0376 0.0000 3.6143
0.2417 2.9150 3.4586
0.9451 1.5623 1.4340
0.9451 4.2677 1.4340
2.4824 1.5623 3.4807
2.4824 4.2677 3.4807
3.1858 2.9150 1.4560
3.4651 0.0000 1.3003
```

(3)
Simulated X-ray powder pattern of LiFeF4 for a wavelength of 1.5418 Å, from DFT lattice parameters and positions (PBE+U).
Kinematic intensities with the Lorentz-polarization factor, no thermal factor.

The 10 most intense peaks (10 to 90 degrees two-theta), most intense first:
2θ = 18.3°, d 4.845, rel. 100
2θ = 41.6°, d 2.170, rel. 37
2θ = 33.9°, d 2.645, rel. 31
2θ = 21.5°, d 4.136, rel. 25
2θ = 62.0°, d 1.497, rel. 19
2θ = 43.8°, d 2.068, rel. 14
2θ = 55.7°, d 1.651, rel. 14
2θ = 29.9°, d 2.988, rel. 13
2θ = 47.3°, d 1.922, rel. 11
2θ = 35.9°, d 2.504, rel. 11

Structural model:
```
LiFeF4
1.0
2.9883 -4.1363 0.0000
2.9883 4.1363 0.0000
0.0000 0.0000 6.3138
Li Fe F
2 2 8
Cartesian
2.9883 3.0042 4.7354
2.9883 -3.0042 1.5785
2.9883 0.0000 0.0000
2.9883 0.0000 3.1569
1.6819 0.1038 1.5785
2.9883 1.8595 3.2734
2.9883 1.8595 6.1973
1.6819 -0.1038 4.7354
4.2947 0.1038 1.5785
2.9883 -1.8595 0.1165
2.9883 -1.8595 3.0404
4.2947 -0.1038 4.7354
```

(4)
Simulated X-ray powder pattern of Mn3OF5 for a wavelength of 1.5418 Å, from DFT lattice parameters and positions (PBE+U).
Kinematic intensities with the Lorentz-polarization factor, no thermal factor.

The 10 most intense peaks (10 to 90 degrees two-theta), most intense first:
2θ = 25.4°, d 3.500, rel. 100
2θ = 26.3°, d 3.389, rel. 95
2θ = 49.9°, d 1.828, rel. 68
2θ = 33.1°, d 2.708, rel. 53
2θ = 33.0°, d 2.716, rel. 51
2θ = 50.7°, d 1.800, rel. 29
2θ = 51.0°, d 1.792, rel. 26
2θ = 64.0°, d 1.456, rel. 23
2θ = 37.7°, d 2.388, rel. 23
2θ = 64.2°, d 1.452, rel. 22

Structural model:
```
Mn3OF5
1.0
5.8563 0.0000 0.0000
1.9506 5.5405 0.0000
2.3724 1.6534 7.1636
Mn O F
6 2 10
Cartesian
0.0000 0.0000 0.0000
1.1862 0.8267 3.5818
2.9542 2.0560 1.2536
4.3241 2.7792 4.7394
5.8552 4.4147 2.4242
7.2252 5.1379 5.9100
4.6576 6.0118 2.4507
5.5218 1.1821 4.7129
3.1202 4.5248 4.7411
2.4714 1.6753 5.0104
4.1351 2.8498 6.8813
3.1132 3.7892 0.0568
4.2492 3.0087 2.6219
5.9302 4.1852 4.5417
7.0662 3.4047 7.1068
6.0443 4.3441 0.2822
7.7080 5.5186 2.1532
7.0592 2.6691 2.4225
```